[1]
MnSb2Pd7: computed powder XRD pattern (Cu Kα (weighted mean of Kα1 and Kα2)), based on a crystal structure in Alexandria, relaxed with PBE.

The 10 most intense peaks (2θ = 10–80°), low angle first:
2θ = 22.43°, d 3.964, I 12; 2θ = 25.22°, d 3.531, I 11; 2θ = 30.09°, d 2.970, I 6; 2θ = 31.39°, d 2.850, I 5; 2θ = 40.10°, d 2.249, I 100; 2θ = 44.99°, d 2.015, I 36; 2θ = 49.82°, d 1.830, I 13; 2θ = 65.51°, d 1.425, I 11; 2θ = 69.36°, d 1.355, I 18; 2θ = 79.66°, d 1.204, I 26

Structural model:
```
10
Lattice="-2.015 2.015 10.982 2.015 -2.015 10.982 2.015 2.015 -10.982" Properties=species:S:1:pos:R:3 pbc="T T T"
Mn 0.000 0.000 0.000
Sb 0.000 0.000 7.317
Sb 0.000 0.000 14.647
Pd 2.015 0.000 1.924
Pd 2.015 0.000 5.491
Pd 2.015 0.000 9.058
Pd 0.000 0.000 10.982
Pd 0.000 2.015 1.924
Pd 0.000 2.015 5.491
Pd 0.000 2.015 9.058
```

***

[2]
RbAcTcO5: computed powder XRD pattern (Cu Kα (weighted mean of Kα1 and Kα2)), based on a crystal structure in Alexandria, relaxed with PBE.

The 10 most intense peaks (2θ = 10–80°), low angle first:
2θ = 14.45°, d 6.128, I 53; 2θ = 22.41°, d 3.967, I 100; 2θ = 23.97°, d 3.713, I 80; 2θ = 27.43°, d 3.252, I 95; 2θ = 27.80°, d 3.209, I 67; 2θ = 30.44°, d 2.936, I 31; 2θ = 30.61°, d 2.921, I 36; 2θ = 35.48°, d 2.530, I 30; 2θ = 42.61°, d 2.122, I 26; 2θ = 44.35°, d 2.043, I 29

Structural model:
```
16
Lattice="4.028 -5.425 0.000 4.028 5.425 0.000 -3.345 0.000 7.959" Properties=species:S:1:pos:R:3 pbc="T T T"
Rb 1.519 3.533 5.969
Rb 3.191 -3.533 1.990
Ac 4.028 0.000 0.000
Ac 2.355 0.000 3.980
Tc 3.191 3.486 1.990
Tc 1.519 -3.486 5.969
O -1.697 0.853 7.142
O 2.099 2.407 2.930
O -0.024 -0.853 3.162
O 4.284 2.407 1.049
O 1.519 0.830 5.969
O 3.191 -0.830 1.990
O 0.427 -2.407 6.910
O 4.735 0.853 4.797
O 2.611 -2.407 5.029
O 6.407 -0.853 0.817
```

***

[3]
Rb2Zn3H8: computed powder XRD pattern (Cu Kα (weighted mean of Kα1 and Kα2)), based on a crystal structure in Alexandria, relaxed with PBE.

The 10 most intense peaks (2θ = 10–80°), low angle first:
2θ = 26.65°, d 3.346, I 84; 2θ = 27.22°, d 3.276, I 93; 2θ = 28.50°, d 3.132, I 100; 2θ = 30.23°, d 2.956, I 68; 2θ = 34.09°, d 2.630, I 51; 2θ = 35.00°, d 2.564, I 59; 2θ = 35.69°, d 2.516, I 72; 2θ = 36.42°, d 2.467, I 35; 2θ = 51.45°, d 1.776, I 44; 2θ = 54.14°, d 1.694, I 31

Structural model:
```
13
Lattice="6.245 -2.937 0.000 6.245 2.937 0.000 -1.657 0.000 4.877" Properties=species:S:1:pos:R:3 pbc="T T T"
Rb 2.387 0.000 0.832
Rb 8.446 0.000 4.045
Zn 5.416 1.526 2.438
Zn 6.245 0.000 0.000
Zn 5.416 -1.526 2.438
H 0.378 0.000 2.490
H 5.135 1.198 0.675
H 5.698 1.198 4.202
H 4.207 0.000 2.765
H 6.626 0.000 2.112
H 5.135 -1.198 0.675
H 5.698 -1.198 4.202
H 10.455 0.000 2.386
```